For SiRhC2, the PBE geometry in Alexandria gives the theoretical X-ray diffraction stick pattern in this record (Cu Kα (weighted mean of Kα1 and Kα2)).

```
4
Lattice="2.9606 0.0000 0.0000 -1.4803 2.5640 0.0000 0.0000 0.0000 5.5688" Properties=species:S:1:pos:R:3 pbc="T T T"
Si 0.0000 0.0000 0.0000
Rh 0.0000 1.7093 2.1199
C 1.4803 0.8546 3.3212
C 1.4803 0.8546 4.7204
```

Top 10 peaks for 10 to 90 degrees two-theta, in order of falling intensity:
| 2θ/deg | Rel. int. | h k l |
| --- | --- | --- |
| 38.66 | 100 | 0 1 1 |
| 15.91 | 55 | 0 0 1 |
| 48.25 | 40 | 1 0 2 |
| 35.00 | 28 | 1 0 0 |
| 32.15 | 23 | 0 0 2 |
| 61.69 | 19 | 0 1 3 |
| 62.77 | 17 | 1 1 0 |
| 76.21 | 13 | 2 0 1 |
| 72.29 | 12 | 1 1 2 |
| 78.12 | 12 | 1 0 4 |